No. 1
Simulated powder diffractogram of Hf6InMo for CuKα, from a structure optimized by DFT (GGA-PBE).
Intensities are scaled so that the largest is 1000.

Cell and atoms:
Cell lengths 8.0676, 8.0676, 9.1278 Å; angles 90.00, 90.00, 120.00 degrees
Space group R-3 (No. 148, hexagonal axes)
Asymmetric unit:
1 Hf 0.0182 0.7781 0.2254 (multiplicity 18)
2 In 0.0000 0.0000 0.5000 (multiplicity 3)
3 Mo 0.0000 0.0000 0.0000 (multiplicity 3)

Peak list (10 most intense, 10 to 90 degrees two-theta, sorted by position)
two_theta	d_spacing	Rel. int.	h k l
29.35	3.043	112	0 0 3
32.27	2.774	260	2 0 2
35.38	2.537	1000	3 -1 1
37.01	2.429	456	2 -1 3
39.42	2.286	622	1 2 2
41.64	2.169	188	1 0 4
60.75	1.525	222	4 1 0
61.78	1.502	103	3 -2 5
65.58	1.423	105	1 1 6
67.53	1.387	124	4 0 4

***

No. 2
Simulated powder diffractogram of Hf12In5N2 for CuKα, from a structure optimized by DFT (GGA-PBE).
Intensities are scaled so that the largest is 1000.

Cell and atoms:
Cell lengths 6.6524, 8.1106, 14.6606 Å; angles 90.00, 90.00, 90.00 degrees
Space group Immm (No. 71)
Asymmetric unit:
1 Hf 0.0000 0.1749 0.0000 (multiplicity 4)
2 Hf 0.0000 0.2803 0.5000 (multiplicity 4)
3 Hf 0.2170 0.0000 0.3657 (multiplicity 8)
4 Hf 0.2448 0.5000 0.3552 (multiplicity 8)
5 In 0.0000 0.2565 0.2401 (multiplicity 8)
6 In 0.0000 0.5000 0.0000 (multiplicity 2)
7 N 0.2348 0.5000 0.5000 (multiplicity 4)

Peak list (10 most intense, 10 to 90 degrees two-theta, sorted by position)
two_theta	d_spacing	Rel. int.	h k l
32.94	2.719	972	0 2 4
34.89	2.572	924	2 2 0
36.48	2.463	1000	2 0 4
44.69	2.028	215	0 4 0
49.75	1.833	171	0 0 8
55.23	1.663	150	4 0 0
59.00	1.565	297	2 4 4
62.20	1.492	222	2 2 8
65.83	1.419	225	4 2 4
69.07	1.360	112	0 4 8